This entry pairs a crystal structure of SrTmRuO6 with its theoretical powder X-ray diffraction pattern. Radiation: CuKα. Structure: a GGA-PBE-relaxed structure.

Structure:
a b c (Å): 5.5047 5.5047 10.4874
angles (deg): 90.00 90.00 120.00
Space group P-31c (No. 163)
Asymmetric unit:
1 Sr 0.0000 0.0000 0.0000 [2 per cell]
2 Tm 0.3333 0.6667 0.2500 [2 per cell]
3 Ru 0.3333 0.6667 0.7500 [2 per cell]
4 O 0.0398 0.3880 0.6462 [12 per cell]

Main lines, most intense first (2θ = 10–90°):
- 2θ = 25.25°, rel. 100, (1 0 2)
- 2θ = 47.92°, rel. 53, (1 1 4)
- 2θ = 32.53°, rel. 49, (1 1 0)
- 2θ = 16.91°, rel. 38, (0 0 2)
- 2θ = 36.88°, rel. 25, (1 1 2)
- 2θ = 41.62°, rel. 24, (2 0 2)
- 2θ = 53.80°, rel. 24, (2 1 2)
- 2θ = 58.04°, rel. 17, (3 0 0)
- 2θ = 78.50°, rel. 12, (4 -2 4)
- 2θ = 69.12°, rel. 11, (3 0 4)